# 1
For K2LiZrCl6, DFT lattice parameters and positions (PBE) gives the simulated X-ray diffraction stick pattern in this record (Cu Kα (weighted mean of Kα1 and Kα2)).
Kinematic intensities with the Lorentz-polarization factor, no thermal factor.

Cell and atoms:
Cell lengths 12.6815, 12.6815, 12.6815 Å; angles 33.13, 33.13, 33.13 degrees
Positions (direct):
K  0.1277  0.1277  0.1277
K  0.2921  0.2921  0.2921
K  0.7079  0.7079  0.7079
K  0.8723  0.8723  0.8723
Li  0.4131  0.4131  0.4131
Li  0.5869  0.5869  0.5869
Zr  0.0000  0.0000  0.0000
Zr  0.5000  0.5000  0.5000
Cl  0.1275  0.6243  0.6243
Cl  0.2074  0.2074  0.7085
Cl  0.2074  0.7085  0.2074
Cl  0.2915  0.7926  0.7926
Cl  0.3757  0.3757  0.8725
Cl  0.3757  0.8725  0.3757
Cl  0.6243  0.1275  0.6243
Cl  0.6243  0.6243  0.1275
Cl  0.7085  0.2074  0.2074
Cl  0.7926  0.2915  0.7926
Cl  0.7926  0.7926  0.2915
Cl  0.8725  0.3757  0.3757

Peak list (6 most intense, 10° ≤ 2θ ≤ 90°, in order of rising 2θ)
2θ 14.98, 5.913 Å, I = 877
2θ 17.26, 5.137 Å, I = 581
2θ 31.16, 2.870 Å, I = 1000
2θ 33.53, 2.673 Å, I = 903
2θ 38.13, 2.360 Å, I = 450
2θ 50.48, 1.808 Å, I = 593

# 2
For KLuNb6Cl18, DFT lattice parameters and positions (PBE) gives the simulated X-ray diffraction stick pattern in this record (Cu Kα (weighted mean of Kα1 and Kα2)).
Kinematic intensities with the Lorentz-polarization factor, no thermal factor.

Cell and atoms:
Cell lengths 10.1618, 10.1618, 10.1618 Å; angles 55.91, 55.91, 55.91 degrees
Positions (direct):
K  0.0000  0.0000  0.0000
Lu  0.2771  0.2771  0.2771
Nb  0.5821  0.9281  0.6846
Nb  0.6285  0.8708  0.9752
Nb  0.6846  0.5821  0.9281
Nb  0.8708  0.9752  0.6285
Nb  0.9281  0.6846  0.5821
Nb  0.9752  0.6285  0.8708
Cl  0.0607  0.9035  0.3678
Cl  0.1198  0.8342  0.7112
Cl  0.1208  0.5709  0.3185
Cl  0.1875  0.4967  0.6529
Cl  0.2329  0.4371  0.9894
Cl  0.3185  0.1208  0.5709
Cl  0.3678  0.0607  0.9035
Cl  0.4367  0.7225  0.8450
Cl  0.4371  0.9894  0.2329
Cl  0.4967  0.6529  0.1875
Cl  0.5709  0.3185  0.1208
Cl  0.6529  0.1875  0.4967
Cl  0.7112  0.1198  0.8342
Cl  0.7225  0.8450  0.4367
Cl  0.8342  0.7112  0.1198
Cl  0.8450  0.4367  0.7225
Cl  0.9035  0.3678  0.0607
Cl  0.9894  0.2329  0.4371

Peak list (6 most intense, 10° ≤ 2θ ≤ 90°, in order of rising 2θ)
2θ 11.27, 7.854 Å, I = 140
2θ 12.76, 6.938 Å, I = 1000
2θ 21.35, 4.161 Å, I = 147
2θ 33.64, 2.664 Å, I = 308
2θ 40.36, 2.235 Å, I = 224
2θ 50.70, 1.801 Å, I = 139

# 3
For K4Mg3Cl10, DFT lattice parameters and positions (PBE) gives the simulated X-ray diffraction stick pattern in this record (Cu Kα (weighted mean of Kα1 and Kα2)).
Kinematic intensities with the Lorentz-polarization factor, no thermal factor.

Cell and atoms:
Cell lengths 18.1985, 18.1985, 18.1985 Å; angles 164.15, 164.15, 22.49 degrees
Positions (direct):
K  0.0691  0.0691  0.0000
K  0.2012  0.2012  0.0000
K  0.7988  0.7988  0.0000
K  0.9309  0.9309  0.0000
Mg  0.3578  0.3578  0.0000
Mg  0.5000  0.5000  0.0000
Mg  0.6422  0.6422  0.0000
Cl  0.0000  0.5000  0.5000
Cl  0.1392  0.6392  0.5000
Cl  0.2889  0.2889  0.0000
Cl  0.3608  0.8608  0.5000
Cl  0.4298  0.4298  0.0000
Cl  0.5000  0.0000  0.5000
Cl  0.5702  0.5702  0.0000
Cl  0.6392  0.1392  0.5000
Cl  0.7111  0.7111  0.0000
Cl  0.8608  0.3608  0.5000

Peak list (6 most intense, 10° ≤ 2θ ≤ 90°, in order of rising 2θ)
2θ 29.30, 3.048 Å, I = 438
2θ 32.23, 2.778 Å, I = 964
2θ 35.20, 2.550 Å, I = 424
2θ 35.78, 2.509 Å, I = 1000
2θ 51.07, 1.789 Å, I = 511
2θ 51.50, 1.774 Å, I = 308

# 4
For K4MgCl6, DFT lattice parameters and positions (PBE) gives the simulated X-ray diffraction stick pattern in this record (Cu Kα (weighted mean of Kα1 and Kα2)).
Kinematic intensities with the Lorentz-polarization factor, no thermal factor.

Cell and atoms:
Cell lengths 8.6268, 8.6268, 8.6268 Å; angles 89.62, 89.62, 89.62 degrees
Positions (direct):
K  0.1232  0.7500  0.3768
K  0.2500  0.2500  0.2500
K  0.2500  0.6232  0.8768
K  0.3768  0.1232  0.7500
K  0.6232  0.8768  0.2500
K  0.7500  0.3768  0.1232
K  0.7500  0.7500  0.7500
K  0.8768  0.2500  0.6232
Mg  0.0000  0.0000  0.0000
Mg  0.5000  0.5000  0.5000
Cl  0.0565  0.9322  0.7171
Cl  0.0678  0.2829  0.9435
Cl  0.2171  0.4322  0.5565
Cl  0.2829  0.9435  0.0678
Cl  0.4322  0.5565  0.2171
Cl  0.4435  0.7829  0.5678
Cl  0.5565  0.2171  0.4322
Cl  0.5678  0.4435  0.7829
Cl  0.7171  0.0565  0.9322
Cl  0.7829  0.5678  0.4435
Cl  0.9322  0.7171  0.0565
Cl  0.9435  0.0678  0.2829

Peak list (6 most intense, 10° ≤ 2θ ≤ 90°, in order of rising 2θ)
2θ 14.52, 6.102 Å, I = 256
2θ 25.34, 3.515 Å, I = 395
2θ 31.20, 2.867 Å, I = 456
2θ 32.76, 2.733 Å, I = 438
2θ 34.50, 2.599 Å, I = 1000
2θ 35.82, 2.507 Å, I = 256

# 5
For KMgMn2Cl8, DFT lattice parameters and positions (PBE) gives the simulated X-ray diffraction stick pattern in this record (Cu Kα (weighted mean of Kα1 and Kα2)).
Kinematic intensities with the Lorentz-polarization factor, no thermal factor.

Cell and atoms:
Cell lengths 6.5495, 6.5495, 8.9295 Å; angles 90.00, 90.00, 120.00 degrees
Positions (direct):
K  0.0000  0.0000  0.0000
Mg  0.0000  0.0000  0.5000
Mn  0.3333  0.6667  0.7278
Mn  0.6667  0.3333  0.2722
Cl  0.0011  0.3108  0.6683
Cl  0.3097  0.9989  0.6683
Cl  0.3108  0.3097  0.3317
Cl  0.3333  0.6667  0.9762
Cl  0.6667  0.3333  0.0238
Cl  0.6892  0.6903  0.6683
Cl  0.6903  0.0011  0.3317
Cl  0.9989  0.6892  0.3317

Peak list (6 most intense, 10° ≤ 2θ ≤ 90°, in order of rising 2θ)
2θ 18.53, 4.788 Å, I = 899
2θ 29.04, 3.075 Å, I = 1000
2θ 30.02, 2.976 Å, I = 434
2θ 33.96, 2.640 Å, I = 548
2θ 48.13, 1.891 Å, I = 527
2θ 49.41, 1.845 Å, I = 469

# 6
For KMg2ScCl8, DFT lattice parameters and positions (PBE) gives the simulated X-ray diffraction stick pattern in this record (Cu Kα (weighted mean of Kα1 and Kα2)).
Kinematic intensities with the Lorentz-polarization factor, no thermal factor.

Cell and atoms:
Cell lengths 6.3537, 6.3559, 8.7047 Å; angles 79.33, 79.22, 78.41 degrees
Positions (direct):
K  0.0000  0.0000  0.0000
Mg  0.4491  0.4500  0.2184
Mg  0.5509  0.5500  0.7816
Sc  0.0000  0.0000  0.5000
Cl  0.2007  0.7597  0.7116
Cl  0.2445  0.8028  0.2873
Cl  0.2548  0.2599  0.4602
Cl  0.3287  0.3335  0.0074
Cl  0.6713  0.6665  0.9926
Cl  0.7452  0.7401  0.5398
Cl  0.7555  0.1972  0.7127
Cl  0.7993  0.2403  0.2884

Peak list (6 most intense, 10° ≤ 2θ ≤ 90°, in order of rising 2θ)
2θ 16.46, 5.384 Å, I = 507
2θ 18.56, 4.780 Å, I = 534
2θ 22.13, 4.017 Å, I = 300
2θ 24.54, 3.627 Å, I = 270
2θ 30.17, 2.962 Å, I = 323
2θ 30.71, 2.911 Å, I = 1000

# 7
For K2MgScCl6, DFT lattice parameters and positions (PBE) gives the simulated X-ray diffraction stick pattern in this record (Cu Kα (weighted mean of Kα1 and Kα2)).
Kinematic intensities with the Lorentz-polarization factor, no thermal factor.

Cell and atoms:
Cell lengths 7.2185, 7.2185, 7.2185 Å; angles 59.79, 59.79, 59.79 degrees
Positions (direct):
K  0.2485  0.2485  0.2485
K  0.7515  0.7515  0.7515
Mg  0.0000  0.0000  0.0000
Sc  0.5000  0.5000  0.5000
Cl  0.2456  0.2456  0.7541
Cl  0.2456  0.7541  0.2456
Cl  0.2459  0.7544  0.7544
Cl  0.7541  0.2456  0.2456
Cl  0.7544  0.2459  0.7544
Cl  0.7544  0.7544  0.2459

Peak list (6 most intense, 10° ≤ 2θ ≤ 90°, in order of rising 2θ)
2θ 24.71, 3.603 Å, I = 251
2θ 30.28, 2.952 Å, I = 200
2θ 30.41, 2.939 Å, I = 592
2θ 35.22, 2.548 Å, I = 1000
2θ 50.58, 1.805 Å, I = 310
2θ 50.75, 1.799 Å, I = 307

# 8
For KMnCl, DFT lattice parameters and positions (PBE) gives the simulated X-ray diffraction stick pattern in this record (Cu Kα (weighted mean of Kα1 and Kα2)).
Kinematic intensities with the Lorentz-polarization factor, no thermal factor.

Cell and atoms:
Cell lengths 4.3131, 4.3131, 5.4975 Å; angles 90.00, 90.00, 90.00 degrees
Positions (direct):
K  0.0000  0.0000  0.0000
Mn  0.5000  0.5000  0.5000
Cl  0.5000  0.5000  0.0000

Peak list (6 most intense, 10° ≤ 2θ ≤ 90°, in order of rising 2θ)
2θ 20.59, 4.313 Å, I = 377
2θ 26.26, 3.393 Å, I = 550
2θ 29.28, 3.050 Å, I = 1000
2θ 32.58, 2.749 Å, I = 369
2θ 41.89, 2.157 Å, I = 343
2θ 44.37, 2.042 Å, I = 571

# 9
For KMnCl5, DFT lattice parameters and positions (PBE) gives the simulated X-ray diffraction stick pattern in this record (Cu Kα (weighted mean of Kα1 and Kα2)).
Kinematic intensities with the Lorentz-polarization factor, no thermal factor.

Cell and atoms:
Cell lengths 6.5720, 6.5720, 11.6594 Å; angles 111.37, 111.37, 65.09 degrees
Positions (direct):
K  0.0641  0.9359  0.5000
K  0.9359  0.0641  0.0000
Mn  0.4888  0.5723  0.2151
Mn  0.5723  0.4888  0.7151
Cl  0.1072  0.7221  0.2014
Cl  0.2231  0.4527  0.6200
Cl  0.3983  0.8694  0.7840
Cl  0.4527  0.2231  0.1200
Cl  0.4876  0.6476  0.0494
Cl  0.5236  0.8958  0.3622
Cl  0.6476  0.4876  0.5494
Cl  0.7221  0.1072  0.7014
Cl  0.8694  0.3983  0.2840
Cl  0.8958  0.5236  0.8622

Peak list (6 most intense, 10° ≤ 2θ ≤ 90°, in order of rising 2θ)
2θ 15.35, 5.772 Å, I = 733
2θ 17.75, 4.996 Å, I = 607
2θ 18.47, 4.804 Å, I = 538
2θ 19.80, 4.484 Å, I = 1000
2θ 29.99, 2.979 Å, I = 804
2θ 30.84, 2.899 Å, I = 892

# 10
For K2MnCl4, DFT lattice parameters and positions (PBE) gives the simulated X-ray diffraction stick pattern in this record (Cu Kα (weighted mean of Kα1 and Kα2)).
Kinematic intensities with the Lorentz-polarization factor, no thermal factor.

Cell and atoms:
Cell lengths 7.2708, 7.2696, 8.7661 Å; angles 90.00, 108.28, 90.00 degrees
Positions (direct):
K  0.2078  0.2500  0.0510
K  0.2684  0.2500  0.5666
K  0.7316  0.7500  0.4334
K  0.7922  0.7500  0.9490
Mn  0.2398  0.7500  0.8020
Mn  0.7602  0.2500  0.1980
Cl  0.0181  0.5034  0.7434
Cl  0.0181  0.9966  0.7434
Cl  0.4217  0.7500  0.0754
Cl  0.4351  0.7500  0.6340
Cl  0.5649  0.2500  0.3660
Cl  0.5783  0.2500  0.9246
Cl  0.9819  0.0034  0.2566
Cl  0.9819  0.4966  0.2566

Peak list (6 most intense, 10° ≤ 2θ ≤ 90°, in order of rising 2θ)
2θ 16.19, 5.475 Å, I = 773
2θ 24.49, 3.635 Å, I = 774
2θ 27.74, 3.216 Å, I = 879
2θ 30.57, 2.925 Å, I = 999
2θ 30.91, 2.893 Å, I = 1000
2θ 41.19, 2.192 Å, I = 667

# 11
For K3MnCl7, DFT lattice parameters and positions (PBE) gives the simulated X-ray diffraction stick pattern in this record (Cu Kα (weighted mean of Kα1 and Kα2)).
Kinematic intensities with the Lorentz-polarization factor, no thermal factor.

Cell and atoms:
Cell lengths 9.6576, 9.6576, 6.7435 Å; angles 90.00, 90.00, 90.00 degrees
Positions (direct):
K  0.0000  0.0000  0.0000
K  0.1742  0.3258  0.5000
K  0.3258  0.8258  0.5000
K  0.5000  0.5000  0.0000
K  0.6742  0.1742  0.5000
K  0.8258  0.6742  0.5000
Mn  0.0000  0.5000  0.0000
Mn  0.5000  0.0000  0.0000
Cl  0.0000  0.0000  0.5000
Cl  0.1170  0.6170  0.2417
Cl  0.1170  0.6170  0.7583
Cl  0.1673  0.3327  0.0000
Cl  0.3327  0.8327  0.0000
Cl  0.3830  0.1170  0.2417
Cl  0.3830  0.1170  0.7583
Cl  0.5000  0.5000  0.5000
Cl  0.6170  0.8830  0.2417
Cl  0.6170  0.8830  0.7583
Cl  0.6673  0.1673  0.0000
Cl  0.8327  0.6673  0.0000
Cl  0.8830  0.3830  0.2417
Cl  0.8830  0.3830  0.7583

Peak list (6 most intense, 10° ≤ 2θ ≤ 90°, in order of rising 2θ)
2θ 12.96, 6.829 Å, I = 585
2θ 26.10, 3.414 Å, I = 388
2θ 29.25, 3.053 Å, I = 481
2θ 33.72, 2.658 Å, I = 1000
2θ 37.49, 2.399 Å, I = 264
2θ 50.17, 1.819 Å, I = 213

# 12
For KMn2Cl8, DFT lattice parameters and positions (PBE) gives the simulated X-ray diffraction stick pattern in this record (Cu Kα (weighted mean of Kα1 and Kα2)).
Kinematic intensities with the Lorentz-polarization factor, no thermal factor.

Cell and atoms:
Cell lengths 8.2920, 8.2920, 6.7519 Å; angles 90.00, 90.00, 120.00 degrees
Positions (direct):
K  0.0000  0.0000  0.0000
Mn  0.3333  0.6667  0.3505
Mn  0.6667  0.3333  0.6495
Cl  0.1877  0.3753  0.2585
Cl  0.1877  0.8123  0.2585
Cl  0.3333  0.6667  0.6645
Cl  0.3753  0.1877  0.7415
Cl  0.6247  0.8123  0.2585
Cl  0.6667  0.3333  0.3355
Cl  0.8123  0.1877  0.7415
Cl  0.8123  0.6247  0.7415

Peak list (6 most intense, 10° ≤ 2θ ≤ 90°, in order of rising 2θ)
2θ 18.03, 4.919 Å, I = 1000
2θ 21.43, 4.146 Å, I = 436
2θ 24.80, 3.591 Å, I = 270
2θ 28.15, 3.170 Å, I = 519
2θ 36.53, 2.460 Å, I = 234
2θ 43.66, 2.073 Å, I = 337